Entry 1:
# Bi2TeO6
Simulated XRD peak list, a wavelength of 1.5418 Å. Input: a structure optimized by DFT (GGA-PBE).
No peak broadening, texture or thermal motion is included.

Cell and atoms:
Cell lengths 5.4541, 16.8479, 5.4551 Å; angles 90.00, 90.00, 90.00 degrees
Space group Cmce (No. 64)
Unique sites:
Bi 0.0000 0.1732 0.0114 [8 per cell]
Te 0.0000 0.0000 0.5000 [4 per cell]
O 0.0000 0.1091 0.4151 [8 per cell]
O 0.2500 0.0321 0.7500 [8 per cell]
O 0.2500 0.2494 0.2500 [8 per cell]

Principal peaks in the range 5° ≤ 2θ ≤ 70°, low angle first:
- (0 2 0), 10.50°, rel. 88
- (1 3 1), 28.07°, rel. 1000
- (0 6 0), 31.87°, rel. 157
- (2 0 0), 32.84°, rel. 302
- (1 5 1), 35.37°, rel. 65
- (0 6 2), 46.41°, rel. 271
- (2 0 2), 47.13°, rel. 170
- (1 9 1), 54.49°, rel. 172
- (1 3 3), 55.75°, rel. 310
- (2 6 2), 58.02°, rel. 124

=====

Entry 2:
# Bi5Te3O18
Simulated XRD peak list, a wavelength of 1.5418 Å. Input: a structure optimized by DFT (GGA-PBE).
No peak broadening, texture or thermal motion is included.

Cell and atoms:
Cell lengths 16.7834, 9.0473, 11.3999 Å; angles 90.00, 103.28, 90.00 degrees
Space group C2 (No. 5)
Unique sites:
Bi 0.0000 0.0000 0.0000 [2 per cell]
Bi 0.0000 0.4248 0.5000 [2 per cell]
Bi 0.1111 0.6456 0.2888 [4 per cell]
Bi 0.1387 0.0360 0.7492 [4 per cell]
Bi 0.1568 0.4210 0.0042 [4 per cell]
Bi 0.1799 0.0883 0.3977 [4 per cell]
Te 0.0237 0.2939 0.2339 [4 per cell]
Te 0.1504 0.7770 0.5546 [4 per cell]
Te 0.1728 0.7775 0.0198 [4 per cell]
O 0.0048 0.4858 0.7113 [4 per cell]
O 0.0469 0.2077 0.6688 [4 per cell]
O 0.0673 0.1118 0.1913 [4 per cell]
O 0.0671 0.2662 0.9112 [4 per cell]
O 0.0796 0.8344 0.6558 [4 per cell]
O 0.0914 0.5993 0.4892 [4 per cell]
O 0.0925 0.4200 0.1514 [4 per cell]
O 0.0930 0.8634 0.3953 [4 per cell]
O 0.0947 0.8104 0.1199 [4 per cell]
O 0.1066 0.6215 0.9220 [4 per cell]
O 0.1074 0.9269 0.9165 [4 per cell]
O 0.1093 0.2918 0.3863 [4 per cell]
O 0.1999 0.9763 0.5903 [4 per cell]
O 0.2198 0.6049 0.1240 [4 per cell]
O 0.2230 0.6712 0.6846 [4 per cell]
O 0.2301 0.7229 0.4581 [4 per cell]
O 0.2428 0.4053 0.8847 [4 per cell]
O 0.2490 0.7732 0.9086 [4 per cell]

Principal peaks in the range 5° ≤ 2θ ≤ 70°, low angle first:
- (3 1 0), 19.02°, rel. 279
- (3 1 1), 22.07°, rel. 1000
- (2 2 -1), 23.01°, rel. 292
- (0 2 2), 25.41°, rel. 513
- (3 1 -3), 27.70°, rel. 404
- (4 0 -3), 28.61°, rel. 242
- (2 2 2), 29.12°, rel. 360
- (4 2 -2), 31.14°, rel. 537
- (3 3 0), 34.00°, rel. 354
- (3 3 -5), 50.73°, rel. 229

=====

Entry 3:
# TlBi2TeO6
Simulated XRD peak list, a wavelength of 1.5418 Å. Input: a structure optimized by DFT (GGA-PBE).
No peak broadening, texture or thermal motion is included.

Cell and atoms:
Cell lengths 5.9811, 5.9811, 17.4517 Å; angles 90.00, 90.00, 120.00 degrees
Space group R3 (No. 146, hexagonal axes)
Unique sites:
Tl 0.0000 0.0000 0.0000 [3 per cell]
Bi 0.0000 0.0000 0.2145 [3 per cell]
Bi 0.0000 0.0000 0.7538 [3 per cell]
Te 0.0000 0.0000 0.5488 [3 per cell]
O 0.0043 0.3772 0.1510 [9 per cell]
O 0.1124 0.7445 0.2849 [9 per cell]

Principal peaks in the range 5° ≤ 2θ ≤ 70°, low angle first:
- (0 1 2), 19.93°, rel. 188
- (1 0 4), 26.71°, rel. 897
- (1 1 0), 29.88°, rel. 1000
- (0 1 5), 30.89°, rel. 412
- (0 2 4), 40.51°, rel. 314
- (2 0 5), 43.51°, rel. 188
- (2 1 4), 51.14°, rel. 328
- (3 0 0), 53.04°, rel. 259
- (1 2 5), 53.68°, rel. 176
- (2 -1 9), 56.57°, rel. 318